Simulated X-ray powder pattern
Compound: Li4CrP2O9
Radiation: Cu Kα
Structure: a PBE+U-relaxed structure

Principal peaks in the range 2θ = 10–90°, in order of rising 2θ:
2θ/deg, d_spacing, I_rel
12.2, 7.245, 90.5
12.5, 7.082, 91.7
17.5, 5.064, 46.8
19.1, 4.637, 100.0
25.9, 3.436, 65.4
27.6, 3.229, 60.5
28.1, 3.177, 55.2
29.1, 3.067, 56.5
29.2, 3.054, 51.0
36.7, 2.447, 29.4

Cell and atoms:
```
data_Li4CrP2O9
_chemical_formula_sum 'Li8 Cr2 P4 O18'
_space_group_name_H-M_alt 'P 1'
_space_group_IT_number 1
_space_group_name_Hall 'P 1'
_cell_length_a 7.9969
_cell_length_b 7.9969
_cell_length_c 7.0817
_cell_angle_alpha 90.22
_cell_angle_beta 90.22
_cell_angle_gamma 50.08
loop_
_atom_site_label
_atom_site_fract_x
_atom_site_fract_y
_atom_site_fract_z
Li1 0.0000 0.5000 0.5000
Li2 0.0979 0.0979 0.2384
Li3 0.2460 0.7540 0.0000
Li4 0.3751 0.3751 0.3037
Li5 0.5000 0.0000 0.5000
Li6 0.6249 0.6249 0.6963
Li7 0.7540 0.2460 0.0000
Li8 0.9021 0.9021 0.7616
Cr1 0.0000 0.5000 0.0000
Cr2 0.5000 0.0000 0.0000
P1 0.1271 0.1271 0.7044
P2 0.3976 0.3976 0.7581
P3 0.6024 0.6024 0.2419
P4 0.8729 0.8729 0.2956
O1 0.0110 0.6233 0.2391
O2 0.0352 0.0352 0.8115
O3 0.1295 0.1295 0.4897
O4 0.1788 0.5617 0.8755
O5 0.2379 0.2379 0.0821
O6 0.3467 0.3467 0.5680
O7 0.3767 0.9890 0.7609
O8 0.4383 0.8212 0.1245
O9 0.4974 0.4974 0.2363
O10 0.5026 0.5026 0.7637
O11 0.5617 0.1788 0.8755
O12 0.6233 0.0110 0.2391
O13 0.6533 0.6533 0.4320
O14 0.7621 0.7621 0.9179
O15 0.8212 0.4383 0.1245
O16 0.8705 0.8705 0.5103
O17 0.9648 0.9648 0.1885
O18 0.9890 0.3767 0.7609
```